MgAlSbO4: computed XRD peak list (a wavelength of 1.5418 Å), based on a cell relaxed with GGA-PBE.
Peak positions follow from Bragg's law for the DFT cell and can differ from measured ones.

Cell and atoms:
Cell: 5.0459 3.0060 5.5589 Å, 90.00 94.42 90.00°
Fractional coordinates of all 7 atoms:
Mg 0.0000 0.0000 0.0000
Al 0.5000 0.5220 0.0000
Sb 0.0000 0.1976 0.5000
O 0.1850 0.5129 0.2120
O 0.3284 0.0392 0.8225
O 0.6716 0.0392 0.1775
O 0.8150 0.5129 0.7880

Most intense lines, 5° ≤ 2θ ≤ 70°, in order of falling intensity:
2theta, Rel. int.
17.63, 100
22.94, 60
24.80, 55
34.77, 46
33.93, 42
47.14, 37
35.72, 37
37.87, 37
49.19, 36
46.87, 31
29.72, 31
39.08, 28

=====

MgScAlO4: computed XRD peak list (a wavelength of 1.5418 Å), based on a cell relaxed with GGA-PBE.
Peak positions follow from Bragg's law for the DFT cell and can differ from measured ones.

Cell and atoms:
Cell: 8.5671 8.5671 8.5671 Å, 21.99 21.99 21.99°
Fractional coordinates of all 7 atoms:
Mg 0.0000 0.0000 0.0000
Sc 0.2122 0.2122 0.2122
Al 0.4301 0.4301 0.4301
O 0.0958 0.0958 0.0958
O 0.3551 0.3551 0.3551
O 0.5044 0.5044 0.5044
O 0.9200 0.9200 0.9200

Most intense lines, 5° ≤ 2θ ≤ 70°, in order of falling intensity:
2theta, Rel. int.
31.81, 100
56.29, 85
34.78, 64
48.51, 52
32.13, 46
61.25, 43
66.31, 31
21.26, 28
10.59, 23
36.45, 23
32.43, 22
40.63, 21

=====

Mg2Al4Si5O18: computed XRD peak list (a wavelength of 1.5418 Å), based on a cell relaxed with GGA-PBE.
Peak positions follow from Bragg's law for the DFT cell and can differ from measured ones.

Cell and atoms:
Cell: 9.4500 9.8358 9.9031 Å, 60.50 89.98 89.94°
Fractional coordinates of all 58 atoms:
Mg 0.0000 0.0000 0.0000
Mg 0.0001 0.3339 0.3412
Mg 0.4951 0.9985 0.0031
Mg 0.4959 0.3353 0.3366
Al 0.2463 0.0316 0.5625
Al 0.2476 0.5557 0.4024
Al 0.4959 0.1663 0.1686
Al 0.4985 0.6664 0.1697
Al 0.7483 0.4097 0.5612
Al 0.9968 0.6666 0.1687
Al 0.9982 0.1709 0.6631
Al 0.9989 0.1668 0.1682
Si 0.2477 0.2929 0.7750
Si 0.2484 0.4002 0.0412
Si 0.2478 0.7709 0.9363
Si 0.2483 0.9341 0.2869
Si 0.4971 0.1696 0.6638
Si 0.7473 0.0431 0.3990
Si 0.7473 0.2946 0.9352
Si 0.7466 0.5660 0.0329
Si 0.7469 0.7816 0.2873
Si 0.7475 0.9363 0.7666
O 0.0988 0.5255 0.3150
O 0.1033 0.1558 0.5273
O 0.1049 0.3241 0.1459
O 0.1055 0.8023 0.0150
O 0.1070 0.0176 0.1750
O 0.1095 0.1767 0.8095
O 0.2484 0.8855 0.7544
O 0.2485 0.4319 0.6023
O 0.2486 0.5873 0.9751
O 0.2488 0.7515 0.3488
O 0.2545 0.3526 0.9031
O 0.2545 0.9811 0.4198
O 0.3875 0.0192 0.1712
O 0.3900 0.3227 0.1503
O 0.3902 0.8028 0.0151
O 0.3971 0.1832 0.7978
O 0.3982 0.5237 0.3174
O 0.4015 0.1456 0.5415
O 0.5948 0.3134 0.5424
O 0.5994 0.0199 0.7899
O 0.6047 0.1516 0.3225
O 0.6065 0.1829 0.0168
O 0.6074 0.5345 0.1426
O 0.6076 0.8137 0.1735
O 0.7406 0.7494 0.8892
O 0.7418 0.6060 0.4257
O 0.7462 0.9030 0.3561
O 0.7469 0.3612 0.7539
O 0.7466 0.4396 0.9726
O 0.7469 0.9710 0.5873
O 0.8855 0.0156 0.8017
O 0.8881 0.1835 0.0169
O 0.8879 0.5380 0.1380
O 0.8881 0.8120 0.1767
O 0.8888 0.1510 0.3207
O 0.8885 0.3162 0.5275

Most intense lines, 5° ≤ 2θ ≤ 70°, in order of falling intensity:
2theta, Rel. int.
10.30, 100
21.48, 46
10.38, 45
29.04, 42
26.04, 35
28.18, 32
28.05, 29
29.23, 28
17.88, 20
26.15, 18
29.32, 14
33.45, 13